Structure and calculated powder diffraction line list of K3NaFeCl6 (a cell relaxed with PBE; copper Kα).
Neutral-atom scattering factors, no anomalous dispersion.

Structure:
a = 8.839 Å, b = 13.102 Å, c = 6.996 Å
α = 90.00°, β = 123.66°, γ = 90.00°
Space group C2/m (No. 12)
Unique sites:
K  0.000  0.000  0.000 [2 per cell]
K  0.250  0.250  0.500 [4 per cell]
Na  0.000  0.500  0.000 [2 per cell]
Fe  0.000  0.500  0.500 [2 per cell]
Cl  0.142  0.365  0.807 [8 per cell]
Cl  0.231  0.000  0.529 [4 per cell]

Principal peaks in the range 2θ = 15–90°, low angle first:
Position (°2θ), I/Imax
15.22, 45
27.82, 41
29.86, 42
31.33, 58
31.50, 50
31.80, 55
34.12, 100
35.35, 42
41.02, 52
41.50, 94

---

Structure and calculated powder diffraction line list of K6Fe24S26Cl (a cell relaxed with PBE; copper Kα).
Neutral-atom scattering factors, no anomalous dispersion.

Structure:
a = 9.954 Å, b = 9.954 Å, c = 19.815 Å
α = 90.00°, β = 90.00°, γ = 90.00°
Space group I4/mmm (No. 139)
Unique sites:
K  0.000  0.000  0.154 [4 per cell]
K  0.000  0.299  0.000 [8 per cell]
Fe  0.131  0.131  0.434 [16 per cell]
Fe  0.131  0.368  0.184 [32 per cell]
S  0.000  0.000  0.376 [4 per cell]
S  0.000  0.248  0.500 [8 per cell]
S  0.000  0.254  0.251 [16 per cell]
S  0.000  0.500  0.125 [8 per cell]
S  0.233  0.233  0.116 [16 per cell]
Cl  0.000  0.000  0.000 [2 per cell]

Principal peaks in the range 2θ = 15–90°, low angle first:
Position (°2θ), I/Imax
15.44, 83
27.25, 20
29.78, 44
29.89, 21
31.17, 89
39.53, 71
47.50, 16
51.97, 52
52.10, 100
61.85, 15